Diffraction record for CeZn2Co. The XRD peak list is calculated, not measured: it uses DFT lattice parameters and positions (PBE) and Cu Kα X-rays.
Intensities are scaled so that the largest is 100.

Atomic structure:
a = 5.048 Å, b = 12.405 Å, c = 4.403 Å
α = 90.00°, β = 90.00°, γ = 90.00°
Space group Cmcm (No. 63)
Inequivalent atoms, fractional coordinates:
Ce  0.000  0.200  0.250 [4 per cell]
Zn  0.244  0.443  0.250 [8 per cell]
Co  0.000  0.364  0.750 [4 per cell]

Main lines, in order of rising 2θ (2θ from 10° to 80°):
2theta  d/Å  intensity  hkl
27.8  3.204  42  1 1 1
34.7  2.588  31  1 3 1
35.4  2.535  100  0 4 1
38.5  2.338  49  2 2 0
40.5  2.227  23  1 5 0
41.0  2.201  47  0 0 2
43.8  2.065  72  2 2 1
57.5  1.603  30  2 2 2
59.0  1.565  21  1 5 2
61.7  1.503  18  2 6 1